1.
This entry pairs a crystal structure of PmDyAlSi with its theoretical X-ray diffraction stick pattern. Radiation: Cu Kα (λ = 1.5418 Å). Structure: DFT lattice parameters and positions (PBE).
Intensities are scaled so that the largest is 100.

Peak list (8 most intense, 5 to 70 degrees two-theta, in order of rising 2θ)
2θ 21.79, I = 35; 2θ 27.43, I = 66; 2θ 31.23, I = 100; 2θ 31.74, I = 56; 2θ 32.45, I = 28; 2θ 39.01, I = 30; 2θ 50.16, I = 26; 2θ 62.63, I = 26

Structure:
```
data_PmDyAlSi
_symmetry_space_group_name_H-M 'A m m 2'
_symmetry_Int_Tables_number 38
_symmetry_space_group_name_Hall 'A 2 -2'
_cell_length_a 4.0236
_cell_length_b 4.3884
_cell_length_c 11.0358
_cell_angle_alpha 90.00
_cell_angle_beta 90.00
_cell_angle_gamma 90.00
loop_
_atom_site_label
_atom_site_type_symbol
_atom_site_fract_x
_atom_site_fract_y
_atom_site_fract_z
_atom_site_occupancy
Pm1 Pm 0.0000 0.0000 0.0000 1
Dy1 Dy 0.5000 0.0000 0.7167 1
Al1 Al 0.5000 0.0000 0.4246 1
Si1 Si 0.0000 0.0000 0.2816 1
```

2.
This entry pairs a crystal structure of SrMg7In12 with its theoretical X-ray diffraction stick pattern. Radiation: Cu Kα (λ = 1.5418 Å). Structure: DFT lattice parameters and positions (PBE).
Intensities are scaled so that the largest is 100.

Peak list (8 most intense, 5 to 70 degrees two-theta, in order of rising 2θ)
2θ 11.62, I = 53; 2θ 20.19, I = 73; 2θ 26.16, I = 54; 2θ 31.07, I = 56; 2θ 33.27, I = 30; 2θ 37.34, I = 100; 2θ 41.05, I = 45; 2θ 64.77, I = 33

Structure:
```
data_SrMg7In12
_symmetry_space_group_name_H-M 'I m -3'
_symmetry_Int_Tables_number 204
_symmetry_space_group_name_Hall '-I 2 2 3'
_cell_length_a 10.7713
_cell_length_b 10.7713
_cell_length_c 10.7713
_cell_angle_alpha 90.00
_cell_angle_beta 90.00
_cell_angle_gamma 90.00
loop_
_atom_site_label
_atom_site_type_symbol
_atom_site_fract_x
_atom_site_fract_y
_atom_site_fract_z
_atom_site_occupancy
Sr1 Sr 0.0000 0.0000 0.0000 1
Mg1 Mg 0.0000 0.0000 0.5000 1
Mg2 Mg 0.2500 0.2500 0.2500 1
In1 In 0.0000 0.2482 0.3531 1
```

3.
This entry pairs a crystal structure of Sc2Te3 with its theoretical X-ray diffraction stick pattern. Radiation: Cu Kα (λ = 1.5418 Å). Structure: DFT lattice parameters and positions (PBE).
Intensities are scaled so that the largest is 100.

Peak list (8 most intense, 5 to 70 degrees two-theta, in order of rising 2θ)
2θ 26.15, I = 32; 2θ 27.17, I = 94; 2θ 29.23, I = 100; 2θ 33.24, I = 38; 2θ 39.81, I = 22; 2θ 43.75, I = 64; 2θ 45.41, I = 30; 2θ 51.68, I = 30

Structure:
```
data_Sc2Te3
_symmetry_space_group_name_H-M 'P -1'
_symmetry_Int_Tables_number 2
_symmetry_space_group_name_Hall '-P 1'
_cell_length_a 7.1659
_cell_length_b 7.1673
_cell_length_c 13.8386
_cell_angle_alpha 85.00
_cell_angle_beta 80.09
_cell_angle_gamma 60.03
loop_
_atom_site_label
_atom_site_type_symbol
_atom_site_fract_x
_atom_site_fract_y
_atom_site_fract_z
_atom_site_occupancy
Sc1 Sc 0.0000 0.0000 0.0000 1
Sc2 Sc 0.1638 0.6641 0.5001 1
Sc3 Sc 0.2492 0.3328 0.2542 1
Sc4 Sc 0.3356 0.3334 0.9929 1
Sc5 Sc 0.5000 0.0000 0.5000 1
Te1 Te 0.0339 0.6719 0.8747 1
Te2 Te 0.1259 0.3319 0.6271 1
Te3 Te 0.2082 0.9993 0.3755 1
Te4 Te 0.2871 0.6637 0.1253 1
Te5 Te 0.3778 0.9925 0.8747 1
Te6 Te 0.4581 0.6662 0.6245 1
```

4.
This entry pairs a crystal structure of PmTl2Re3O12 with its theoretical X-ray diffraction stick pattern. Radiation: Cu Kα (λ = 1.5418 Å). Structure: DFT lattice parameters and positions (PBE).
Intensities are scaled so that the largest is 100.

Peak list (8 most intense, 5 to 70 degrees two-theta, in order of rising 2θ)
2θ 27.84, I = 100; 2θ 28.15, I = 77; 2θ 29.31, I = 25; 2θ 44.61, I = 31; 2θ 49.06, I = 29; 2θ 49.65, I = 19; 2θ 57.52, I = 33; 2θ 68.46, I = 16

Structure:
```
data_PmTl2Re3O12
_symmetry_space_group_name_H-M 'R -3 m'
_symmetry_Int_Tables_number 166
_symmetry_space_group_name_Hall '-R 3 2"'
_cell_length_a 7.4280
_cell_length_b 7.4280
_cell_length_c 19.0111
_cell_angle_alpha 90.00
_cell_angle_beta 90.00
_cell_angle_gamma 120.00
loop_
_atom_site_label
_atom_site_type_symbol
_atom_site_fract_x
_atom_site_fract_y
_atom_site_fract_z
_atom_site_occupancy
Pm1 Pm 0.0000 0.0000 0.0000 1
Tl1 Tl 0.0000 0.0000 0.3438 1
Re1 Re 0.0000 0.5000 0.5000 1
O1 O 0.0299 0.5150 0.5980 1
O2 O 0.0891 0.5446 0.8407 1
```

5.
This entry pairs a crystal structure of GaTe2PbW with its theoretical X-ray diffraction stick pattern. Radiation: Cu Kα (λ = 1.5418 Å). Structure: DFT lattice parameters and positions (PBE).
Intensities are scaled so that the largest is 100.

Peak list (8 most intense, 5 to 70 degrees two-theta, in order of rising 2θ)
2θ 16.42, I = 100; 2θ 28.40, I = 69; 2θ 32.33, I = 51; 2θ 33.20, I = 96; 2θ 36.47, I = 29; 2θ 47.02, I = 73; 2θ 47.66, I = 35; 2θ 58.77, I = 38

Structure:
```
data_GaTe2PbW
_symmetry_space_group_name_H-M 'P 4/m m m'
_symmetry_Int_Tables_number 123
_symmetry_space_group_name_Hall '-P 4 2'
_cell_length_a 5.3971
_cell_length_b 5.3971
_cell_length_c 5.5378
_cell_angle_alpha 90.00
_cell_angle_beta 90.00
_cell_angle_gamma 90.00
loop_
_atom_site_label
_atom_site_type_symbol
_atom_site_fract_x
_atom_site_fract_y
_atom_site_fract_z
_atom_site_occupancy
Ga1 Ga 0.0000 0.0000 0.0000 1
Te1 Te 0.0000 0.5000 0.5000 1
Pb1 Pb 0.5000 0.5000 0.0000 1
W1 W 0.5000 0.5000 0.5000 1
```

6.
This entry pairs a crystal structure of TlIrPb2 with its theoretical X-ray diffraction stick pattern. Radiation: Cu Kα (λ = 1.5418 Å). Structure: DFT lattice parameters and positions (PBE).
Intensities are scaled so that the largest is 100.

Peak list (8 most intense, 5 to 70 degrees two-theta, in order of rising 2θ)
2θ 27.29, I = 49; 2θ 32.99, I = 21; 2θ 35.49, I = 100; 2θ 38.95, I = 52; 2θ 42.28, I = 40; 2θ 63.71, I = 25; 2θ 68.26, I = 17; 2θ 69.17, I = 20

Structure:
```
data_TlIrPb2
_symmetry_space_group_name_H-M 'I m m 2'
_symmetry_Int_Tables_number 44
_symmetry_space_group_name_Hall 'I 2 -2'
_cell_length_a 3.3564
_cell_length_b 4.6290
_cell_length_c 13.8578
_cell_angle_alpha 90.00
_cell_angle_beta 90.00
_cell_angle_gamma 90.00
loop_
_atom_site_label
_atom_site_type_symbol
_atom_site_fract_x
_atom_site_fract_y
_atom_site_fract_z
_atom_site_occupancy
Tl1 Tl 0.0000 0.0000 0.0000 1
Ir1 Ir 0.0000 0.5000 0.3031 1
Pb1 Pb 0.0000 0.0000 0.6383 1
Pb2 Pb 0.0000 0.5000 0.8300 1
```

> Which formula does entry 5 have?

GaTe2PbW